Calculated powder diffraction line list of PdO2F5 for Cu Kα, from the PBE geometry in Alexandria.
Lines closer than 0.1° are merged.

Atomic structure:
Cell: 4.0302 5.3982 6.3266 Å, 69.89 71.63 68.36°
Space group P1 (No. 1)
One atom of each set of equivalent atoms:
Pd  0.0000  0.0000  0.0000 (multiplicity 1)
O  0.2098  0.5013  0.4985 (multiplicity 1)
O  0.5086  0.4909  0.4970 (multiplicity 1)
F  0.1181  0.6089  0.1466 (multiplicity 1)
F  0.1839  0.9340  0.7000 (multiplicity 1)
F  0.4791  0.0152  0.0276 (multiplicity 1)
F  0.8208  0.0636  0.3022 (multiplicity 1)
F  0.8761  0.3911  0.8511 (multiplicity 1)

Most intense lines, 2θ = 10–90°, sorted by position:
h k l  2theta  I/Imax
0 0 1  15.3  100
0 1 0  18.3  59
0 1 1  20.6  88
1 0 0  24.3  46
1 1 1  24.4  45
1 1 0  25.9  85
0 1 -1  26.8  39
0 1 2  31.6  34
0 2 0  37.1  38
0 1 3  45.8  28



Calculated powder diffraction line list of Rb2PdOF6 for Cu Kα, from the PBE geometry in Alexandria.
Lines closer than 0.1° are merged.

Atomic structure:
Cell: 6.1975 6.1975 9.3267 Å, 90.00 90.00 90.00°
Space group I4/mmm (No. 139)
One atom of each set of equivalent atoms:
Rb  0.0000  0.5000  0.2500 (multiplicity 4)
Pd  0.0000  0.0000  0.0000 (multiplicity 2)
O  0.0000  0.0000  0.5000 (multiplicity 2)
F  0.0000  0.0000  0.2101 (multiplicity 4)
F  0.2229  0.2229  0.0000 (multiplicity 8)

Most intense lines, 2θ = 10–90°, sorted by position:
h k l  2theta  I/Imax
1 0 1  17.2  61
1 1 2  27.9  100
2 0 0  28.8  45
2 0 2  34.8  20
0 0 4  38.6  23
2 2 0  41.2  40
2 0 4  48.9  18
3 1 2  50.5  36
2 2 4  57.7  25
4 0 0  59.7  16



Calculated powder diffraction line list of PmSO4F2 for Cu Kα, from the PBE geometry in Alexandria.
Lines closer than 0.1° are merged.

Atomic structure:
Cell: 6.5343 6.8931 6.9135 Å, 75.84 76.40 63.29°
Space group P1 (No. 1)
One atom of each set of equivalent atoms:
Pm  0.0000  0.0000  0.0000 (multiplicity 1)
Pm  0.3951  0.8925  0.3715 (multiplicity 1)
S  0.4169  0.4378  0.1771 (multiplicity 1)
S  0.8772  0.6181  0.7220 (multiplicity 1)
O  0.0971  0.5903  0.5821 (multiplicity 1)
O  0.2320  0.6063  0.0647 (multiplicity 1)
O  0.3347  0.2769  0.3154 (multiplicity 1)
O  0.5053  0.5321  0.2901 (multiplicity 1)
O  0.6118  0.3050  0.0322 (multiplicity 1)
O  0.6859  0.6567  0.6225 (multiplicity 1)
O  0.8352  0.8130  0.8086 (multiplicity 1)
O  0.9301  0.4145  0.8749 (multiplicity 1)
F  0.0216  0.0162  0.3198 (multiplicity 1)
F  0.1904  0.9803  0.6774 (multiplicity 1)
F  0.3497  0.9731  0.0359 (multiplicity 1)
F  0.7457  0.8682  0.2107 (multiplicity 1)

Most intense lines, 2θ = 10–90°, sorted by position:
h k l  2theta  I/Imax
0 0 1  13.3  43
0 1 0  14.6  100
1 1 0  16.2  28
0 1 1  18.1  37
1 0 1  18.9  59
1 0 -1  21.8  74
1 1 -1  23.8  46
1 2 0  26.9  47
1 1 2  27.2  45
2 1 1  28.1  28



Calculated powder diffraction line list of PmSO4F for Cu Kα, from the PBE geometry in Alexandria.
Lines closer than 0.1° are merged.

Atomic structure:
Cell: 9.1960 7.1655 6.5713 Å, 90.00 105.29 90.00°
Space group C2/m (No. 12)
One atom of each set of equivalent atoms:
Pm  0.2100  0.0000  0.1293 (multiplicity 4)
S  0.1476  0.5000  0.2719 (multiplicity 4)
O  0.0142  0.5000  0.7453 (multiplicity 4)
O  0.1894  0.3348  0.1551 (multiplicity 8)
O  0.2377  0.5000  0.4914 (multiplicity 4)
F  0.0231  0.0000  0.8189 (multiplicity 4)

Most intense lines, 2θ = 10–90°, sorted by position:
h k l  2theta  I/Imax
0 0 1  14.0  89
1 1 -1  19.4  64
2 0 0  20.0  73
0 2 0  24.9  100
2 0 1  27.4  47
1 1 -2  30.0  66
3 1 -1  32.4  44
3 1 -2  37.9  25
1 3 -1  40.7  29
1 3 -2  47.1  28



Calculated powder diffraction line list of PrOF3 for Cu Kα, from the PBE geometry in Alexandria.
Lines closer than 0.1° are merged.

Atomic structure:
Cell: 8.1526 7.4906 9.2490 Å, 90.00 124.44 90.00°
Space group P2_1/c (No. 14)
One atom of each set of equivalent atoms:
Pr  0.0441  0.2500  0.0214 (multiplicity 4)
O  0.4955  0.0820  0.4981 (multiplicity 4)
F  0.0672  0.2492  0.2828 (multiplicity 4)
F  0.1993  0.5296  0.1039 (multiplicity 4)
F  0.1994  0.5297  0.5947 (multiplicity 4)

Most intense lines, 2θ = 10–90°, sorted by position:
h k l  2theta  I/Imax
1 0 0  13.2  100
1 0 -2  19.2  39
0 0 2  23.3  52
0 2 0  23.8  15
1 2 0  27.3  37
0 2 2  33.6  18
2 2 0  35.9  19
2 0 -4  39.0  14
1 2 2  41.0  22
1 2 -4  48.2  15



Calculated powder diffraction line list of Pr6S3O2F8 for Cu Kα, from the PBE geometry in Alexandria.
Lines closer than 0.1° are merged.

Atomic structure:
Cell: 13.7008 3.9157 13.8109 Å, 90.00 119.70 90.00°
Space group Pm (No. 6)
One atom of each set of equivalent atoms:
Pr  0.0000  0.0000  0.0000 (multiplicity 1)
Pr  0.0450  0.5000  0.7625 (multiplicity 1)
Pr  0.1382  0.5000  0.5197 (multiplicity 1)
Pr  0.2286  0.5000  0.2950 (multiplicity 1)
Pr  0.3376  0.0000  0.8275 (multiplicity 1)
Pr  0.4196  0.0000  0.5797 (multiplicity 1)
Pr  0.5183  0.0000  0.3440 (multiplicity 1)
Pr  0.5738  0.5000  0.1092 (multiplicity 1)
Pr  0.6708  0.0000  0.9172 (multiplicity 1)
Pr  0.7554  0.0000  0.6596 (multiplicity 1)
Pr  0.8057  0.5000  0.4536 (multiplicity 1)
Pr  0.8841  0.5000  0.1956 (multiplicity 1)
S  0.0081  0.0000  0.5843 (multiplicity 1)
S  0.0831  0.0000  0.3346 (multiplicity 1)
S  0.4689  0.5000  0.7735 (multiplicity 1)
S  0.5583  0.5000  0.5259 (multiplicity 1)
S  0.7540  0.0000  0.2450 (multiplicity 1)
S  0.8162  0.5000  0.8721 (multiplicity 1)
O  0.2977  0.5000  0.4912 (multiplicity 1)
O  0.6988  0.5000  0.0341 (multiplicity 1)
O  0.7144  0.0000  0.4685 (multiplicity 1)
O  0.8500  0.5000  0.6445 (multiplicity 1)
F  0.0287  0.5000  0.1271 (multiplicity 1)
F  0.0823  0.5000  0.9590 (multiplicity 1)
F  0.1759  0.0000  0.8506 (multiplicity 1)
F  0.1826  0.0000  0.1654 (multiplicity 1)
F  0.2141  0.5000  0.7321 (multiplicity 1)
F  0.2589  0.0000  0.6214 (multiplicity 1)
F  0.3514  0.0000  0.3755 (multiplicity 1)
F  0.3786  0.5000  0.9499 (multiplicity 1)
F  0.3880  0.5000  0.2615 (multiplicity 1)
F  0.4888  0.0000  0.1524 (multiplicity 1)
F  0.5288  0.0000  0.9821 (multiplicity 1)
F  0.6021  0.5000  0.3020 (multiplicity 1)
F  0.6162  0.0000  0.7227 (multiplicity 1)
F  0.8721  0.0000  0.0794 (multiplicity 1)
F  0.9430  0.5000  0.3890 (multiplicity 1)
F  0.9649  0.0000  0.8090 (multiplicity 1)

Most intense lines, 2θ = 10–90°, sorted by position:
h k l  2theta  I/Imax
0 1 1  23.9  82
1 0 -4  26.8  90
3 0 1  26.9  90
4 0 -3  27.1  84
1 1 -3  30.2  100
3 1 -2  30.3  50
3 1 -3  32.1  70
2 1 2  34.6  47
0 2 0  46.4  80
3 2 1  54.4  54



Calculated powder diffraction line list of PtOF for Cu Kα, from the PBE geometry in Alexandria.
Lines closer than 0.1° are merged.

Atomic structure:
Cell: 6.6938 6.6938 3.4669 Å, 90.00 90.00 90.00°
Space group P4_2/m (No. 84)
One atom of each set of equivalent atoms:
Pt  0.2290  0.2306  0.0000 (multiplicity 4)
O  0.0661  0.7458  0.0000 (multiplicity 4)
F  0.2386  0.4553  0.5000 (multiplicity 4)

Most intense lines, 2θ = 10–90°, sorted by position:
h k l  2theta  I/Imax
2 0 0  26.6  93
1 1 1  32.0  100
2 2 0  38.0  24
1 3 1  50.5  62
4 0 0  54.9  12
2 0 2  60.1  19
4 2 0  62.0  12
3 3 1  64.9  15
2 2 2  66.9  10
4 2 2  85.8  10



Calculated powder diffraction line list of PtSO4F2 for Cu Kα, from the PBE geometry in Alexandria.
Lines closer than 0.1° are merged.

Atomic structure:
Cell: 7.6128 7.6409 8.0373 Å, 90.00 104.78 90.00°
Space group C2/c (No. 15)
One atom of each set of equivalent atoms:
Pt  0.0000  0.0000  0.0000 (multiplicity 4)
S  0.2500  0.2500  0.0000 (multiplicity 4)
O  0.1374  0.1221  0.8601 (multiplicity 8)
O  0.1702  0.1642  0.1447 (multiplicity 8)
F  0.0000  0.5000  0.0000 (multiplicity 4)
F  0.2500  0.2500  0.5000 (multiplicity 4)

Most intense lines, 2θ = 10–90°, sorted by position:
h k l  2theta  I/Imax
1 1 0  16.7  100
0 0 2  22.9  40
1 1 -2  25.8  24
1 1 2  30.9  17
0 2 2  32.9  13
2 2 0  33.8  35
2 2 -2  37.4  29
2 2 2  44.8  16
2 2 -4  53.1  12
0 4 2  53.5  15



Calculated powder diffraction line list of Tb2PtO4F for Cu Kα, from the PBE geometry in Alexandria.
Lines closer than 0.1° are merged.

Atomic structure:
Cell: 9.6334 3.4853 6.3768 Å, 90.00 111.82 90.00°
Space group C2/m (No. 12)
One atom of each set of equivalent atoms:
Tb  0.1859  0.0000  0.2056 (multiplicity 4)
Pt  0.0000  0.0000  0.5000 (multiplicity 2)
O  0.1232  0.5000  0.4472 (multiplicity 4)
O  0.1676  0.0000  0.8193 (multiplicity 4)
F  0.0000  0.5000  0.0000 (multiplicity 2)

Most intense lines, 2θ = 10–90°, sorted by position:
h k l  2theta  I/Imax
1 1 0  27.5  82
2 0 1  29.2  84
2 0 -2  29.3  100
1 1 1  33.2  95
4 0 -1  37.3  41
3 1 -1  38.3  96
3 1 -2  42.9  53
1 1 -3  50.8  48
3 1 2  57.8  35
5 1 0  58.0  32



Calculated powder diffraction line list of TcPtO2F for Cu Kα, from the PBE geometry in Alexandria.
Lines closer than 0.1° are merged.

Atomic structure:
Cell: 3.8107 3.8107 4.3923 Å, 90.00 90.00 90.00°
Space group P4/mmm (No. 123)
One atom of each set of equivalent atoms:
Tc  0.0000  0.0000  0.0000 (multiplicity 1)
Pt  0.5000  0.5000  0.5000 (multiplicity 1)
O  0.0000  0.5000  0.0000 (multiplicity 2)
F  0.0000  0.0000  0.5000 (multiplicity 1)

Most intense lines, 2θ = 10–90°, sorted by position:
h k l  2theta  I/Imax
1 0 1  31.1  100
1 1 0  33.2  44
1 1 1  39.2  15
0 0 2  41.1  19
2 0 0  47.7  26
1 1 2  53.8  25
2 1 1  58.1  35
2 0 2  64.8  18
1 0 3  68.7  11
2 1 3  87.9  12



Calculated powder diffraction line list of Pu2OF4 for Cu Kα, from the PBE geometry in Alexandria.
Lines closer than 0.1° are merged.

Atomic structure:
Cell: 4.2109 4.2109 22.7207 Å, 90.00 90.00 120.00°
Space group R-3m (No. 166, hexagonal axes)
One atom of each set of equivalent atoms:
Pu  0.0000  0.0000  0.0909 (multiplicity 6)
O  0.0000  0.0000  0.0000 (multiplicity 3)
F  0.0000  0.0000  0.2040 (multiplicity 6)
F  0.0000  0.0000  0.4183 (multiplicity 6)

Most intense lines, 2θ = 10–90°, sorted by position:
h k l  2theta  I/Imax
0 0 6  23.5  55
1 0 1  24.7  100
0 1 2  25.7  24
1 0 4  29.1  38
0 1 5  31.5  47
1 0 7  37.1  20
1 1 0  43.0  50
1 0 10  47.1  26
1 1 6  49.5  46
0 1 11  50.8  25



Calculated powder diffraction line list of Rb3Pu2O5F2 for Cu Kα, from the PBE geometry in Alexandria.
Lines closer than 0.1° are merged.

Atomic structure:
Cell: 4.3095 4.3095 23.6934 Å, 90.00 90.00 90.00°
Space group I4/mmm (No. 139)
One atom of each set of equivalent atoms:
Rb  0.0000  0.0000  0.0000 (multiplicity 2)
Rb  0.0000  0.0000  0.1877 (multiplicity 4)
Pu  0.0000  0.0000  0.4088 (multiplicity 4)
O  0.0000  0.0000  0.5000 (multiplicity 2)
O  0.0000  0.5000  0.0958 (multiplicity 8)
F  0.0000  0.0000  0.3086 (multiplicity 4)

Most intense lines, 2θ = 10–90°, sorted by position:
h k l  2theta  I/Imax
0 0 4  15.0  16
1 0 1  21.0  36
1 0 5  28.0  100
1 1 0  29.3  56
1 0 7  33.7  16
0 0 10  38.0  14
2 0 0  41.9  30
1 1 10  48.7  19
2 1 5  51.2  39
2 0 10  57.8  16